# SbNF4
Simulated XRD peak list, Cu Kα (λ = 1.5418 Å). Input: DFT lattice parameters and positions (PBE).

Largest 10 diffraction maxima, low angle first, 2θ from 10° to 90°:
hkl  Position (°2θ)  d [Å]  intensity
0 0 2  10.3  8.571  135
1 0 2  16.7  5.322  473
1 1 -2  17.7  5.018  1000
1 1 2  20.7  4.289  213
2 0 0  21.3  4.176  194
0 1 4  24.1  3.690  402
0 2 0  24.6  3.616  437
2 1 -4  28.4  3.139  120
1 1 4  28.6  3.122  190
3 1 -2  33.5  2.676  158

Structure:
Cell lengths 8.657, 7.231, 17.768 Å; angles 90.00, 105.26, 90.00 degrees
Space group P2_1/c (No. 14)
Asymmetric unit:
Sb  0.179  0.249  0.409 (multiplicity 4)
Sb  0.303  0.697  0.278 (multiplicity 4)
N  0.134  0.236  0.631 (multiplicity 4)
N  0.332  0.736  0.043 (multiplicity 4)
F  0.000  0.133  0.434 (multiplicity 4)
F  0.096  0.595  0.251 (multiplicity 4)
F  0.126  0.007  0.938 (multiplicity 4)
F  0.266  0.606  0.706 (multiplicity 4)
F  0.302  0.627  0.856 (multiplicity 4)
F  0.328  0.197  0.508 (multiplicity 4)
F  0.396  0.524  0.357 (multiplicity 4)
F  0.416  0.572  0.215 (multiplicity 4)

# SbN2F5
Simulated XRD peak list, Cu Kα (λ = 1.5418 Å). Input: DFT lattice parameters and positions (PBE).

Largest 10 diffraction maxima, low angle first, 2θ from 10° to 90°:
hkl  Position (°2θ)  d [Å]  intensity
1 1 0  14.6  6.055  642
0 2 1  17.1  5.189  1000
1 1 -1  19.2  4.613  383
1 1 1  19.5  4.552  364
1 3 0  21.9  4.054  283
0 4 0  23.0  3.859  268
1 3 -1  25.3  3.523  205
0 0 2  25.5  3.499  342
1 5 0  32.0  2.795  151
0 6 1  37.2  2.415  144

Structure:
Cell lengths 6.584, 15.436, 7.011 Å; angles 90.00, 90.84, 90.00 degrees
Space group P2_1/c (No. 14)
Asymmetric unit:
Sb  0.233  0.126  0.251 (multiplicity 4)
N  0.264  0.006  0.761 (multiplicity 4)
N  0.271  0.688  0.754 (multiplicity 4)
F  0.008  0.163  0.101 (multiplicity 4)
F  0.070  0.141  0.469 (multiplicity 4)
F  0.226  0.006  0.215 (multiplicity 4)
F  0.398  0.164  0.047 (multiplicity 4)
F  0.463  0.139  0.413 (multiplicity 4)

# SbN2F5
Simulated XRD peak list, Cu Kα (λ = 1.5418 Å). Input: DFT lattice parameters and positions (PBE).

Largest 10 diffraction maxima, low angle first, 2θ from 10° to 90°:
hkl  Position (°2θ)  d [Å]  intensity
1 1 0  14.7  6.024  637
0 2 1  17.3  5.118  1000
1 1 1  19.6  4.526  811
1 3 0  22.0  4.036  313
0 4 0  23.1  3.844  294
1 3 1  25.6  3.478  410
2 2 1  32.5  2.758  172
0 6 1  37.5  2.400  161
2 0 2  38.0  2.368  322
2 2 3  50.1  1.821  167

Structure:
Cell lengths 6.548, 15.374, 6.859 Å; angles 90.00, 90.00, 90.00 degrees
Space group Cmcm (No. 63)
Asymmetric unit:
Sb  0.000  0.126  0.250 (multiplicity 4)
N  0.000  0.245  0.750 (multiplicity 4)
N  0.000  0.441  0.250 (multiplicity 4)
F  0.000  0.247  0.250 (multiplicity 4)
F  0.200  0.099  0.059 (multiplicity 16)

# Sb3NF10
Simulated XRD peak list, Cu Kα (λ = 1.5418 Å). Input: DFT lattice parameters and positions (PBE).

Largest 10 diffraction maxima, low angle first, 2θ from 10° to 90°:
hkl  Position (°2θ)  d [Å]  intensity
1 0 0  10.6  8.312  376
0 2 0  12.2  7.238  354
1 2 0  16.2  5.459  279
1 3 0  21.3  4.174  966
2 0 0  21.4  4.156  317
0 1 2  21.9  4.062  398
0 2 2  24.4  3.653  527
0 4 0  24.6  3.620  399
2 2 0  24.7  3.600  1000
1 2 -2  26.3  3.391  325

Structure:
Cell lengths 8.319, 14.479, 8.471 Å; angles 90.00, 92.48, 90.00 degrees
Space group P2_1/c (No. 14)
Asymmetric unit:
Sb  0.089  0.249  0.090 (multiplicity 4)
Sb  0.242  0.537  0.801 (multiplicity 4)
Sb  0.263  0.527  0.307 (multiplicity 4)
N  0.489  0.743  0.124 (multiplicity 4)
F  0.016  0.571  0.857 (multiplicity 4)
F  0.070  0.605  0.266 (multiplicity 4)
F  0.127  0.225  0.830 (multiplicity 4)
F  0.162  0.553  0.574 (multiplicity 4)
F  0.234  0.143  0.116 (multiplicity 4)
F  0.266  0.166  0.566 (multiplicity 4)
F  0.286  0.666  0.819 (multiplicity 4)
F  0.297  0.538  0.068 (multiplicity 4)
F  0.378  0.637  0.364 (multiplicity 4)
F  0.475  0.524  0.709 (multiplicity 4)

# Sb4NF13
Simulated XRD peak list, Cu Kα (λ = 1.5418 Å). Input: DFT lattice parameters and positions (PBE).

Largest 10 diffraction maxima, low angle first, 2θ from 10° to 90°:
hkl  Position (°2θ)  d [Å]  intensity
1 0 1  17.0  5.206  981
1 2 1  24.6  3.622  1000
2 2 0  25.0  3.565  752
0 0 2  29.4  3.039  244
3 0 1  30.4  2.942  362
4 0 0  35.6  2.521  237
2 2 2  38.9  2.313  395
4 0 2  46.8  1.940  327
4 3 1  47.5  1.914  299
5 2 1  51.0  1.790  270

Structure:
Cell lengths 10.084, 10.084, 6.079 Å; angles 90.00, 90.00, 90.00 degrees
Space group I4/m (No. 87)
Asymmetric unit:
Sb  0.004  0.267  0.000 (multiplicity 8)
N  0.000  0.000  0.500 (multiplicity 2)
F  0.000  0.000  0.000 (multiplicity 2)
F  0.073  0.391  0.500 (multiplicity 8)
F  0.113  0.798  0.228 (multiplicity 16)

# SbN2F5
Simulated XRD peak list, Cu Kα (λ = 1.5418 Å). Input: DFT lattice parameters and positions (PBE).

Largest 10 diffraction maxima, low angle first, 2θ from 10° to 90°:
hkl  Position (°2θ)  d [Å]  intensity
1 1 0  15.0  5.912  634
0 2 1  17.5  5.067  1000
1 1 -1  19.7  4.498  401
1 1 1  20.0  4.445  380
1 3 0  22.4  3.962  290
0 4 0  23.6  3.775  281
1 3 -1  25.9  3.440  198
0 0 2  26.1  3.417  331
2 0 -2  38.2  2.359  300
2 0 2  38.7  2.326  150

Structure:
Cell lengths 6.425, 15.099, 6.836 Å; angles 90.00, 90.74, 90.00 degrees
Space group C2/c (No. 15)
Asymmetric unit:
Sb  0.000  0.125  0.250 (multiplicity 4)
N  0.000  0.244  0.750 (multiplicity 4)
N  0.000  0.442  0.250 (multiplicity 4)
F  0.000  0.249  0.250 (multiplicity 4)
F  0.167  0.096  0.033 (multiplicity 8)
F  0.233  0.099  0.412 (multiplicity 8)

# ScN3F6
Simulated XRD peak list, Cu Kα (λ = 1.5418 Å). Input: DFT lattice parameters and positions (PBE).

Largest 10 diffraction maxima, low angle first, 2θ from 10° to 90°:
hkl  Position (°2θ)  d [Å]  intensity
0 0 1  17.5  5.071  1000
2 0 -1  17.8  4.972  768
0 2 0  24.3  3.656  241
2 0 0  24.7  3.607  291
2 0 -2  25.5  3.500  264
0 2 1  30.1  2.965  582
2 2 -1  30.3  2.945  299
0 0 2  35.4  2.538  196
2 2 -2  35.5  2.528  567
4 0 -2  36.1  2.486  259

Structure:
Cell lengths 9.949, 7.312, 7.001 Å; angles 90.00, 133.53, 90.00 degrees
Space group Cm (No. 8)
Asymmetric unit:
Sc  0.000  0.000  0.000 (multiplicity 2)
N  0.017  0.258  0.416 (multiplicity 4)
N  0.489  0.000  0.903 (multiplicity 2)
F  0.134  0.500  0.167 (multiplicity 2)
F  0.233  0.000  0.345 (multiplicity 2)
F  0.297  0.500  0.968 (multiplicity 2)
F  0.341  0.000  0.877 (multiplicity 2)
F  0.484  0.272  0.834 (multiplicity 4)

# ScN3F6
Simulated XRD peak list, Cu Kα (λ = 1.5418 Å). Input: DFT lattice parameters and positions (PBE).

Largest 10 diffraction maxima, low angle first, 2θ from 10° to 90°:
hkl  Position (°2θ)  d [Å]  intensity
0 0 2  17.8  4.975  1000
1 0 1  19.1  4.641  580
1 1 0  24.0  3.710  591
1 1 2  30.0  2.974  327
2 0 0  34.2  2.623  303
0 0 4  36.1  2.488  856
2 1 1  39.5  2.284  463
2 1 2  42.6  2.122  298
2 2 0  49.1  1.855  465
0 0 6  55.4  1.659  306

Structure:
Cell lengths 5.246, 5.246, 9.951 Å; angles 90.00, 90.00, 90.00 degrees
Space group P4/mnc (No. 128)
Asymmetric unit:
Sc  0.000  0.000  0.000 (multiplicity 2)
N  0.000  0.000  0.500 (multiplicity 2)
N  0.000  0.500  0.250 (multiplicity 4)
F  0.000  0.000  0.205 (multiplicity 4)
F  0.169  0.292  0.500 (multiplicity 8)

# ScN3F6
Simulated XRD peak list, Cu Kα (λ = 1.5418 Å). Input: DFT lattice parameters and positions (PBE).

Largest 10 diffraction maxima, low angle first, 2θ from 10° to 90°:
hkl  Position (°2θ)  d [Å]  intensity
0 0 2  16.9  5.260  629
1 0 0  17.5  5.065  540
1 0 -2  18.6  4.766  286
0 1 1  18.7  4.736  579
1 1 -1  23.2  3.834  661
1 1 1  28.1  3.176  318
1 1 -3  29.5  3.026  469
1 1 2  33.7  2.656  1000
0 0 4  34.1  2.630  490
2 1 -2  36.5  2.459  464

Structure:
Cell lengths 5.565, 5.303, 11.559 Å; angles 90.00, 114.47, 90.00 degrees
Space group P2_1/c (No. 14)
Asymmetric unit:
Sc  0.000  0.000  0.000 (multiplicity 2)
N  0.254  0.113  0.746 (multiplicity 4)
N  0.500  0.000  0.500 (multiplicity 2)
F  0.062  0.231  0.407 (multiplicity 4)
F  0.265  0.143  0.205 (multiplicity 4)
F  0.302  0.721  0.489 (multiplicity 4)

# ScN3F6
Simulated XRD peak list, Cu Kα (λ = 1.5418 Å). Input: DFT lattice parameters and positions (PBE).

Largest 10 diffraction maxima, low angle first, 2θ from 10° to 90°:
hkl  Position (°2θ)  d [Å]  intensity
1 1 1  19.7  4.517  127
2 0 0  22.7  3.912  1000
2 2 0  32.4  2.766  346
3 1 1  38.1  2.359  230
2 2 2  39.9  2.259  378
4 0 0  46.4  1.956  946
3 3 1  50.9  1.795  188
4 2 0  52.3  1.750  316
4 4 0  67.7  1.383  440
4 4 4  86.1  1.129  126

Structure:
Cell lengths 7.824, 7.824, 7.824 Å; angles 90.00, 90.00, 90.00 degrees
Space group Fm-3m (No. 225)
Asymmetric unit:
Sc  0.000  0.000  0.000 (multiplicity 4)
N  0.000  0.000  0.500 (multiplicity 4)
N  0.250  0.250  0.250 (multiplicity 8)
F  0.000  0.000  0.265 (multiplicity 24)